Structure and theoretical powder XRD pattern of Ce2PPt2Rh4 (a cell relaxed with PBE; Cu Kα (λ = 1.5418 Å)).

Cell: 6.0414 6.0414 6.0414 Å, 119.54 119.54 90.80°
Sites, in units of the cell vectors:
Ce (0.2500, 0.7500, 0.5000)
Ce (0.7500, 0.2500, 0.5000)
P (0.0000, 0.0000, 0.0000)
Pt (0.2717, 0.2717, 0.0000)
Pt (0.7283, 0.7283, 0.0000)
Rh (0.2627, 0.2627, 0.5254)
Rh (0.2627, 0.7373, 0.0000)
Rh (0.7373, 0.2627, 0.0000)
Rh (0.7373, 0.7373, 0.4746)

Top 10 peaks for 10° ≤ 2θ ≤ 90°, low angle first:
- 3.042 Å, 29.36°, I 6
- 2.472 Å, 36.34°, I 100
- 2.151 Å, 42.01°, I 38
- 2.121 Å, 42.63°, I 17
- 1.961 Å, 46.31°, I 4
- 1.521 Å, 60.91°, I 12
- 1.510 Å, 61.39°, I 22
- 1.295 Å, 73.04°, I 25
- 1.282 Å, 73.92°, I 10
- 1.236 Å, 77.18°, I 11

=====

Structure and theoretical powder XRD pattern of AcYBN3 (a cell relaxed with PBE; Cu Kα (λ = 1.5418 Å)).

Cell: 5.6914 5.6914 6.1113 Å, 90.00 90.00 120.00°
Sites, in units of the cell vectors:
Ac (0.3333, 0.6667, 0.2500)
Ac (0.6667, 0.3333, 0.7500)
Y (0.0000, 0.0000, 0.0000)
Y (0.0000, 0.0000, 0.5000)
B (0.3333, 0.6667, 0.7500)
B (0.6667, 0.3333, 0.2500)
N (0.1838, 0.3676, 0.7500)
N (0.1838, 0.8162, 0.7500)
N (0.3676, 0.1838, 0.2500)
N (0.6324, 0.8162, 0.7500)
N (0.8162, 0.1838, 0.2500)
N (0.8162, 0.6324, 0.2500)

Top 10 peaks for 10° ≤ 2θ ≤ 90°, low angle first:
- 3.837 Å, 23.18°, I 100
- 2.846 Å, 31.44°, I 81
- 2.597 Å, 34.54°, I 56
- 2.286 Å, 39.42°, I 44
- 1.918 Å, 47.39°, I 27
- 1.883 Å, 48.35°, I 16
- 1.782 Å, 51.27°, I 29
- 1.643 Å, 55.97°, I 16
- 1.591 Å, 57.98°, I 22
- 1.346 Å, 69.88°, I 17

=====

Structure and theoretical powder XRD pattern of DySnN (a cell relaxed with PBE; Cu Kα (λ = 1.5418 Å)).

Cell: 8.2614 8.2614 4.5704 Å, 90.00 90.00 90.00°
Sites, in units of the cell vectors:
Dy (0.0000, 0.2079, 0.0000)
Dy (0.0000, 0.7921, 0.0000)
Dy (0.2079, 0.0000, 0.5000)
Dy (0.7921, 0.0000, 0.5000)
Sn (0.3133, 0.5000, 0.0000)
Sn (0.5000, 0.3133, 0.5000)
Sn (0.5000, 0.6867, 0.5000)
Sn (0.6867, 0.5000, 0.0000)
N (0.0000, 0.1778, 0.5000)
N (0.0000, 0.8222, 0.5000)
N (0.1778, 0.0000, 0.0000)
N (0.8222, 0.0000, 0.0000)

Top 10 peaks for 10° ≤ 2θ ≤ 90°, low angle first:
- 5.842 Å, 15.17°, I 58
- 3.999 Å, 22.23°, I 44
- 2.921 Å, 30.61°, I 64
- 2.873 Å, 31.13°, I 100
- 2.359 Å, 38.15°, I 77
- 2.285 Å, 39.43°, I 26
- 1.947 Å, 46.65°, I 23
- 1.800 Å, 50.72°, I 31
- 1.482 Å, 62.68°, I 18
- 1.454 Å, 64.02°, I 33

=====

Structure and theoretical powder XRD pattern of AcZnIn2Ag2 (a cell relaxed with PBE; Cu Kα (λ = 1.5418 Å)).

Cell: 7.0068 7.0068 7.0068 Å, 135.16 135.16 65.29°
Sites, in units of the cell vectors:
Ac (0.0000, 0.0000, 0.0000)
Zn (0.5000, 0.5000, 0.0000)
In (0.2500, 0.7500, 0.5000)
In (0.7500, 0.2500, 0.5000)
Ag (0.2927, 0.2927, 0.0000)
Ag (0.7073, 0.7073, 0.0000)

Top 10 peaks for 10° ≤ 2θ ≤ 90°, low angle first:
- 3.779 Å, 23.54°, I 35
- 3.183 Å, 28.04°, I 62
- 3.168 Å, 28.17°, I 54
- 2.950 Å, 30.30°, I 46
- 2.673 Å, 33.53°, I 100
- 2.043 Å, 44.34°, I 32
- 1.981 Å, 45.81°, I 59
- 1.890 Å, 48.15°, I 36
- 1.745 Å, 52.45°, I 28
- 1.591 Å, 57.96°, I 29

=====

Structure and theoretical powder XRD pattern of Y3MnC3 (a cell relaxed with PBE; Cu Kα (λ = 1.5418 Å)).

Cell: 6.6893 6.6893 5.1046 Å, 90.00 90.00 101.33°
Sites, in units of the cell vectors:
Y (0.1075, 0.8925, 0.7500)
Y (0.1691, 0.4098, 0.7500)
Y (0.4098, 0.1691, 0.2500)
Y (0.5902, 0.8309, 0.7500)
Y (0.8309, 0.5902, 0.2500)
Y (0.8925, 0.1075, 0.2500)
Mn (0.3028, 0.6972, 0.2500)
Mn (0.6972, 0.3028, 0.7500)
C (0.1261, 0.8739, 0.2500)
C (0.1769, 0.4321, 0.2500)
C (0.4321, 0.1769, 0.7500)
C (0.5679, 0.8231, 0.2500)
C (0.8231, 0.5679, 0.7500)
C (0.8739, 0.1261, 0.7500)

Top 10 peaks for 10° ≤ 2θ ≤ 90°, low angle first:
- 2.759 Å, 32.45°, I 100
- 2.727 Å, 32.85°, I 20
- 2.708 Å, 33.08°, I 26
- 2.587 Å, 34.68°, I 25
- 2.552 Å, 35.16°, I 40
- 2.120 Å, 42.65°, I 12
- 1.863 Å, 48.88°, I 12
- 1.817 Å, 50.21°, I 17
- 1.670 Å, 54.99°, I 14
- 1.510 Å, 61.39°, I 16

=====

Structure and theoretical powder XRD pattern of La2Dy3Th2 (a cell relaxed with PBE; Cu Kα (λ = 1.5418 Å)).

Cell: 3.5365 8.5740 8.7865 Å, 116.91 90.68 97.62°
Sites, in units of the cell vectors:
La (0.1358, 0.3498, 0.0734)
La (0.8642, 0.6502, 0.9266)
Dy (0.4563, 0.9454, 0.7741)
Dy (0.5000, 0.5000, 0.5000)
Dy (0.5437, 0.0546, 0.2259)
Th (0.0769, 0.2183, 0.6313)
Th (0.9231, 0.7817, 0.3687)

Top 10 peaks for 10° ≤ 2θ ≤ 90°, low angle first:
- 3.252 Å, 27.42°, I 22
- 3.070 Å, 29.08°, I 54
- 2.959 Å, 30.20°, I 100
- 2.834 Å, 31.56°, I 81
- 2.800 Å, 31.96°, I 80
- 2.789 Å, 32.10°, I 57
- 2.731 Å, 32.79°, I 81
- 2.090 Å, 43.29°, I 21
- 1.843 Å, 49.46°, I 22
- 1.686 Å, 54.42°, I 20

=====

Structure and theoretical powder XRD pattern of RbFe2Te3 (a cell relaxed with PBE; Cu Kα (λ = 1.5418 Å)).

Cell: 8.2954 8.2954 5.6284 Å, 90.00 90.00 103.33°
Sites, in units of the cell vectors:
Rb (0.1498, 0.8502, 0.7500)
Rb (0.8502, 0.1498, 0.2500)
Fe (0.3759, 0.3759, 0.0000)
Fe (0.3759, 0.3759, 0.5000)
Fe (0.6241, 0.6241, 0.0000)
Fe (0.6241, 0.6241, 0.5000)
Te (0.1161, 0.3613, 0.7500)
Te (0.3613, 0.1161, 0.2500)
Te (0.3634, 0.6366, 0.2500)
Te (0.6366, 0.3634, 0.7500)
Te (0.6387, 0.8839, 0.7500)
Te (0.8839, 0.6387, 0.2500)

Top 10 peaks for 10° ≤ 2θ ≤ 90°, low angle first:
- 8.072 Å, 10.96°, I 22
- 3.280 Å, 27.19°, I 100
- 3.254 Å, 27.41°, I 13
- 2.815 Å, 31.79°, I 11
- 2.128 Å, 42.47°, I 22
- 2.018 Å, 44.92°, I 18
- 1.899 Å, 47.91°, I 17
- 1.883 Å, 48.32°, I 17
- 1.701 Å, 53.89°, I 15
- 1.591 Å, 57.97°, I 11

=====

Structure and theoretical powder XRD pattern of Sm3Pt4Rh4 (a cell relaxed with PBE; Cu Kα (λ = 1.5418 Å)).

Cell: 6.7205 6.7205 6.7205 Å, 109.47 109.47 109.47°
Sites, in units of the cell vectors:
Sm (0.0000, 0.5000, 0.5000)
Sm (0.5000, 0.0000, 0.5000)
Sm (0.5000, 0.5000, 0.0000)
Pt (0.0000, 0.0000, 0.4062)
Pt (0.0000, 0.4062, 0.0000)
Pt (0.4062, 0.0000, 0.0000)
Pt (0.5938, 0.5938, 0.5938)
Rh (0.0000, 0.0000, 0.7656)
Rh (0.0000, 0.7656, 0.0000)
Rh (0.2344, 0.2344, 0.2344)
Rh (0.7656, 0.0000, 0.0000)

Top 10 peaks for 10° ≤ 2θ ≤ 90°, low angle first:
- 5.487 Å, 16.15°, I 13
- 3.168 Å, 28.17°, I 22
- 2.744 Å, 32.64°, I 100
- 2.454 Å, 36.62°, I 39
- 2.074 Å, 43.64°, I 44
- 1.829 Å, 49.86°, I 45
- 1.654 Å, 55.54°, I 13
- 1.584 Å, 58.25°, I 20
- 1.259 Å, 75.53°, I 21
- 1.097 Å, 89.25°, I 15